No. 1
Structure and calculated XRD peak list of Al12Zn6Mo (the PBE geometry in Alexandria; a wavelength of 1.5418 Å).

Crystal structure
Cell lengths 6.8250, 6.8250, 6.8250 Å; angles 93.73, 93.73, 93.73 degrees
Fractional coordinates of all 19 atoms:
Al: 0.0153 0.9682 0.2985
Al: 0.0318 0.7015 0.9847
Al: 0.1269 0.4457 0.3653
Al: 0.2985 0.0153 0.9682
Al: 0.3653 0.1269 0.4457
Al: 0.4457 0.3653 0.1269
Al: 0.5543 0.6347 0.8731
Al: 0.6347 0.8731 0.5543
Al: 0.7015 0.9847 0.0318
Al: 0.8731 0.5543 0.6347
Al: 0.9682 0.2985 0.0153
Al: 0.9847 0.0318 0.7015
Zn: 0.2268 0.3857 0.7600
Zn: 0.2400 0.7732 0.6143
Zn: 0.3857 0.7600 0.2268
Zn: 0.6143 0.2400 0.7732
Zn: 0.7600 0.2268 0.3857
Zn: 0.7732 0.6143 0.2400
Mo: 0.5000 0.5000 0.5000

The 10 most intense peaks (2θ from 10° to 90°), low angle first:
2θ/deg  I_rel
13.03  59
19.11  37
24.22  21
30.22  29
38.50  100
39.80  41
41.13  84
42.31  28
42.97  33
73.20  17



No. 2
Structure and calculated XRD peak list of AlN (the PBE geometry in Alexandria; a wavelength of 1.5418 Å).

Crystal structure
Cell lengths 3.1289, 3.1289, 5.0133 Å; angles 90.00, 90.00, 120.00 degrees
Fractional coordinates of all 4 atoms:
Al: 0.3333 0.6667 0.0000
Al: 0.6667 0.3333 0.5000
N: 0.3333 0.6667 0.3817
N: 0.6667 0.3333 0.8817

The 10 most intense peaks (2θ from 10° to 90°), low angle first:
2θ/deg  I_rel
33.06  100
35.82  62
37.74  93
49.54  34
59.05  61
65.64  55
69.36  9
71.02  43
72.23  16
80.60  7



No. 3
Structure and calculated XRD peak list of AlN (the PBE geometry in Alexandria; a wavelength of 1.5418 Å).

Crystal structure
Cell lengths 6.0862, 5.3068, 5.1671 Å; angles 71.04, 55.55, 53.41 degrees
Fractional coordinates of all 8 atoms:
Al: 0.0267 0.0267 0.7233
Al: 0.2767 0.2767 0.9733
Al: 0.7233 0.7233 0.0267
Al: 0.9733 0.9733 0.2767
N: 0.0435 0.7065 0.0435
N: 0.2935 0.9565 0.2935
N: 0.7065 0.0435 0.7065
N: 0.9565 0.2935 0.9565

The 10 most intense peaks (2θ from 10° to 90°), low angle first:
2θ/deg  I_rel
20.85  100
29.37  20
35.80  16
36.89  16
47.36  28
48.11  8
56.44  16
60.94  6
65.77  12
74.60  9